Record 1
Diffraction record for KCu3Re. The powder X-ray diffraction pattern is computed, not measured: it uses DFT lattice parameters and positions (GGA-PBE) and CuKα.
Intensities are scaled so that the largest is 100.

Largest 10 diffraction maxima, low angle first, 2θ from 15° to 90°:
| 2θ/deg | I/Imax | h k l |
| --- | --- | --- |
| 18.4 | 100 | 1 0 0 |
| 26.1 | 47 | 1 1 0 |
| 37.2 | 73 | 2 0 0 |
| 41.8 | 51 | 2 1 0 |
| 46.0 | 20 | 2 1 1 |
| 53.6 | 49 | 2 2 0 |
| 57.2 | 26 | 3 0 0 |
| 67.1 | 16 | 2 2 2 |
| 70.2 | 11 | 3 2 0 |
| 82.2 | 15 | 4 1 0 |

Atomic structure:
```
data_KCu3Re
_symmetry_space_group_name_H-M 'P m -3 m'
_symmetry_Int_Tables_number 221
_symmetry_space_group_name_Hall '-P 4 2 3'
_cell_length_a 4.8336
_cell_length_b 4.8336
_cell_length_c 4.8336
_cell_angle_alpha 90.00
_cell_angle_beta 90.00
_cell_angle_gamma 90.00
loop_
_atom_site_label
_atom_site_type_symbol
_atom_site_fract_x
_atom_site_fract_y
_atom_site_fract_z
K1 K 0.0000 0.0000 0.0000
Cu1 Cu 0.0000 0.5000 0.5000
Re1 Re 0.5000 0.5000 0.5000
```

---

Record 2
Diffraction record for KCu4S2. The powder X-ray diffraction pattern is computed, not measured: it uses DFT lattice parameters and positions (GGA-PBE) and CuKα.
Intensities are scaled so that the largest is 100.

Largest 10 diffraction maxima, low angle first, 2θ from 15° to 90°:
| 2θ/deg | I/Imax | h k l |
| --- | --- | --- |
| 29.0 | 14 | 1 0 4 |
| 30.8 | 27 | 0 1 5 |
| 35.2 | 61 | 1 0 7 |
| 43.3 | 42 | 1 0 10 |
| 44.9 | 100 | 1 1 0 |
| 46.3 | 76 | 0 1 11 |
| 52.6 | 13 | 1 0 13 |
| 58.4 | 13 | 0 2 7 |
| 82.9 | 15 | 3 0 0 |
| 83.9 | 17 | 1 2 11 |

Atomic structure:
```
data_KCu4S2
_symmetry_space_group_name_H-M 'R -3 m'
_symmetry_Int_Tables_number 166
_symmetry_space_group_name_Hall '-R 3 2"'
_cell_length_a 4.0335
_cell_length_b 4.0335
_cell_length_c 26.0703
_cell_angle_alpha 90.00
_cell_angle_beta 90.00
_cell_angle_gamma 120.00
loop_
_atom_site_label
_atom_site_type_symbol
_atom_site_fract_x
_atom_site_fract_y
_atom_site_fract_z
K1 K 0.0000 0.0000 0.0000
Cu1 Cu 0.0000 0.0000 0.1666
Cu2 Cu 0.0000 0.0000 0.4480
S1 S 0.0000 0.0000 0.2522
```

---

Record 3
Diffraction record for K3Cu4S4. The powder X-ray diffraction pattern is computed, not measured: it uses DFT lattice parameters and positions (GGA-PBE) and CuKα.
Intensities are scaled so that the largest is 100.

Largest 10 diffraction maxima, low angle first, 2θ from 15° to 90°:
| 2θ/deg | I/Imax | h k l |
| --- | --- | --- |
| 30.5 | 46 | 1 5 0 |
| 31.1 | 26 | 1 3 1 |
| 34.2 | 27 | 0 6 0 |
| 34.4 | 30 | 3 1 0 |
| 34.6 | 100 | 2 2 1 |
| 36.9 | 50 | 2 3 1 |
| 43.2 | 39 | 3 2 1 |
| 43.7 | 26 | 2 5 1 |
| 47.7 | 44 | 0 0 2 |
| 59.1 | 22 | 3 7 1 |

Atomic structure:
```
data_K3Cu4S4
_symmetry_space_group_name_H-M 'P b a m'
_symmetry_Int_Tables_number 55
_cell_length_a 7.9291
_cell_length_b 15.7499
_cell_length_c 3.8143
_cell_angle_alpha 90.00
_cell_angle_beta 90.00
_cell_angle_gamma 90.00
loop_
_symmetry_equiv_pos_as_xyz
'x,y,z'
'-x,-y,-z'
'-x,-y,z'
'x,y,-z'
'x+1/2,-y+1/2,-z'
'-x+1/2,y+1/2,z'
'-x+1/2,y+1/2,-z'
'x+1/2,-y+1/2,z'
loop_
_atom_site_label
_atom_site_type_symbol
_atom_site_fract_x
_atom_site_fract_y
_atom_site_fract_z
K1 K 0.0000 0.0000 0.0000
K2 K 0.0226 0.2340 0.5000
Cu1 Cu 0.0727 0.4176 0.0000
Cu2 Cu 0.1541 0.5569 0.5000
S1 S 0.1978 0.6381 0.0000
S2 S 0.2296 0.4143 0.5000
```

---

What did the first record say?
Diffraction record for KCu3Re. The powder X-ray diffraction pattern is computed, not measured: it uses DFT lattice parameters and positions (GGA-PBE) and CuKα.
Intensities are scaled so that the largest is 100.

Largest 10 diffraction maxima, low angle first, 2θ from 15° to 90°:
| 2θ/deg | I/Imax | h k l |
| --- | --- | --- |
| 18.4 | 100 | 1 0 0 |
| 26.1 | 47 | 1 1 0 |
| 37.2 | 73 | 2 0 0 |
| 41.8 | 51 | 2 1 0 |
| 46.0 | 20 | 2 1 1 |
| 53.6 | 49 | 2 2 0 |
| 57.2 | 26 | 3 0 0 |
| 67.1 | 16 | 2 2 2 |
| 70.2 | 11 | 3 2 0 |
| 82.2 | 15 | 4 1 0 |

Atomic structure:
```
data_KCu3Re
_symmetry_space_group_name_H-M 'P m -3 m'
_symmetry_Int_Tables_number 221
_symmetry_space_group_name_Hall '-P 4 2 3'
_cell_length_a 4.8336
_cell_length_b 4.8336
_cell_length_c 4.8336
_cell_angle_alpha 90.00
_cell_angle_beta 90.00
_cell_angle_gamma 90.00
loop_
_atom_site_label
_atom_site_type_symbol
_atom_site_fract_x
_atom_site_fract_y
_atom_site_fract_z
K1 K 0.0000 0.0000 0.0000
Cu1 Cu 0.0000 0.5000 0.5000
Re1 Re 0.5000 0.5000 0.5000
```